Ti2Be9Tc: computed XRD peak list (CuKα), based on a PBE-relaxed structure.

Cell and atoms:
abc: 7.427 7.427 7.427
angles: 34.46 34.46 34.46
Fractional positions:
Ti  0.141  0.141  0.141
Ti  0.859  0.859  0.859
Be  0.077  0.581  0.581
Be  0.334  0.334  0.334
Be  0.419  0.419  0.923
Be  0.419  0.923  0.419
Be  0.500  0.500  0.500
Be  0.581  0.077  0.581
Be  0.581  0.581  0.077
Be  0.666  0.666  0.666
Be  0.923  0.419  0.419
Tc  0.000  0.000  0.000

Top 10 peaks for 15 to 90 degrees two-theta, in order of rising 2θ:
2θ/deg, I (rel.)
23.74, 100
24.87, 26
25.52, 28
31.75, 13
38.25, 57
41.03, 50
41.87, 35
47.95, 25
48.95, 49
72.90, 15